PmHf: computed powder XRD pattern (CuKα), based on DFT lattice parameters and positions (GGA-PBE).

Atomic structure:
```
4
Lattice="3.334 0.000 0.000 0.000 5.362 0.000 0.000 0.000 6.135" Properties=species:S:1:pos:R:3 pbc="T T T"
Pm 0.833 1.341 0.628
Pm 2.500 4.022 5.507
Hf 0.833 4.022 2.649
Hf 2.500 1.341 3.486
```

Largest 10 diffraction maxima, by angle, 2θ from 10° to 90°:
| hkl | d/Å | I_rel |
| --- | --- | --- |
| 0 0 2 | 3.068 | 12.8 |
| 1 0 1 | 2.929 | 24.1 |
| 0 2 0 | 2.681 | 38.0 |
| 0 1 2 | 2.663 | 53.8 |
| 1 1 1 | 2.571 | 100.0 |
| 1 2 1 | 1.978 | 15.8 |
| 1 0 3 | 1.743 | 19.2 |
| 1 3 1 | 1.526 | 20.4 |
| 1 2 3 | 1.461 | 21.5 |
| 2 1 2 | 1.413 | 15.3 |